1.
Structure and computed powder diffraction line list of RbNbHgO4 (a crystal structure in Alexandria, relaxed with GGA-PBE; Cu Ka).
Neutral-atom scattering factors, no anomalous dispersion.

Principal peaks in the range 2θ = 10–80°, sorted by position:
12.09°, I 100; 21.94°, I 76; 24.32°, I 26; 26.57°, I 77; 28.27°, I 69; 32.57°, I 51; 34.72°, I 35; 34.99°, I 29; 36.21°, I 37; 36.33°, I 28

Atomic structure:
Unit cell a=6.0759 b=6.7091 c=7.6156 alpha=90.00 beta=106.03 gamma=90.00
Space group P2_1/m (No. 11)
One atom of each set of equivalent atoms:
Rb  0.2095  0.2500  0.4469 (multiplicity 2)
Nb  0.2328  0.7500  0.1702 (multiplicity 2)
Hg  0.3740  0.2500  0.0141 (multiplicity 2)
O  0.0103  0.2500  0.0455 (multiplicity 2)
O  0.1301  0.7500  0.3732 (multiplicity 2)
O  0.4470  0.5341  0.1864 (multiplicity 4)



2.
Structure and computed powder diffraction line list of NbHgPd (a crystal structure in Alexandria, relaxed with GGA-PBE; Cu Ka).
Neutral-atom scattering factors, no anomalous dispersion.

Principal peaks in the range 2θ = 10–80°, sorted by position:
26.60°, I 22; 30.93°, I 32; 32.38°, I 22; 36.45°, I 57; 37.32°, I 76; 38.89°, I 100; 40.38°, I 32; 43.75°, I 27; 44.49°, I 27; 64.05°, I 29

Atomic structure:
Unit cell a=2.9081 b=2.9086 c=13.4854 alpha=88.49 beta=83.82 gamma=89.08
Space group P-1 (No. 2)
One atom of each set of equivalent atoms:
Nb  0.2101  0.2403  0.0835 (multiplicity 2)
Hg  0.0552  0.2067  0.3909 (multiplicity 2)
Pd  0.3627  0.2762  0.7702 (multiplicity 2)



3.
Structure and computed powder diffraction line list of Rb2NbHgS4 (a crystal structure in Alexandria, relaxed with GGA-PBE; Cu Ka).
Neutral-atom scattering factors, no anomalous dispersion.

Principal peaks in the range 2θ = 10–80°, sorted by position:
15.35°, I 29; 22.83°, I 49; 26.29°, I 100; 32.51°, I 32; 42.28°, I 58; 48.34°, I 23; 52.54°, I 17; 54.11°, I 12; 54.33°, I 12; 64.76°, I 15

Atomic structure:
Unit cell a=7.7892 b=7.7892 c=8.6028 alpha=90.00 beta=90.00 gamma=90.00
Space group I-4 (No. 82)
One atom of each set of equivalent atoms:
Rb  0.0000  0.0000  0.0000 (multiplicity 2)
Rb  0.0000  0.5000  0.2500 (multiplicity 2)
Nb  0.0000  0.5000  0.7500 (multiplicity 2)
Hg  0.0000  0.0000  0.5000 (multiplicity 2)
S  0.1484  0.3014  0.6028 (multiplicity 8)



4.
Structure and computed powder diffraction line list of Nb3TcHg (a crystal structure in Alexandria, relaxed with GGA-PBE; Cu Ka).
Neutral-atom scattering factors, no anomalous dispersion.

Principal peaks in the range 2θ = 10–80°, sorted by position:
26.13°, I 61; 32.15°, I 86; 37.29°, I 100; 46.11°, I 27; 53.77°, I 69; 60.74°, I 12; 64.04°, I 35; 67.26°, I 23; 73.48°, I 14; 79.51°, I 11

Atomic structure:
Unit cell a=4.8222 b=4.8222 c=4.8222 alpha=90.00 beta=90.00 gamma=90.00
Space group Pm-3m (No. 221)
One atom of each set of equivalent atoms:
Nb  0.0000  0.0000  0.5000 (multiplicity 3)
Tc  0.0000  0.0000  0.0000 (multiplicity 1)
Hg  0.5000  0.5000  0.5000 (multiplicity 1)